Simulated PXRD pattern of BaLaFe2Cu2O11 for λ = 1.5418 Å (Cu Kα), from a crystal structure in Alexandria, relaxed with PBE+U.
Intensities are scaled so that the largest is 100.

Most intense lines, 2θ from 10° to 80°, low angle first:
index, d [Å], two_theta, I/Imax
0 0 1, 8.424, 10.5, 100.0
1 1 1, 3.458, 25.8, 52.9
1 1 2, 2.818, 31.8, 86.8
0 2 0, 2.687, 33.3, 17.5
2 0 0, 2.676, 33.5, 17.1
0 0 4, 2.106, 42.9, 16.9
2 2 0, 1.896, 48.0, 29.3
1 3 2, 1.576, 58.6, 14.9
3 1 2, 1.571, 58.8, 21.8
2 2 4, 1.409, 66.3, 16.0

Cell and atoms:
```
17
Lattice="5.351 0.000 0.000 0.000 5.375 0.000 0.000 0.000 8.424" Properties=species:S:1:pos:R:3 pbc="T T T"
Ba 0.000 0.000 0.000
La 2.676 2.687 0.016
Fe 0.000 2.687 6.373
Fe 2.676 0.000 2.593
Cu 0.000 2.687 2.115
Cu 2.676 0.000 6.206
O 0.000 2.687 8.290
O 1.359 1.461 6.348
O 1.359 3.914 6.348
O 1.388 1.400 1.944
O 1.388 3.974 1.944
O 2.676 0.000 4.386
O 2.676 0.000 8.103
O 3.963 1.400 1.944
O 3.963 3.974 1.944
O 3.993 1.461 6.348
O 3.993 3.914 6.348
```